This entry pairs a crystal structure of Mn5SbP6O24 with its calculated X-ray diffraction stick pattern. Radiation: Cu Ka. Structure: DFT lattice parameters and positions (PBE+U).
Peak positions follow from Bragg's law for the DFT cell and can differ from measured ones.

Top 6 peaks for 15° ≤ 2θ ≤ 90°, in order of rising 2θ:
2θ 20.46, I 100.0; 2θ 24.02, I 80.5; 2θ 32.54, I 67.8; 2θ 35.84, I 40.4; 2θ 46.69, I 24.4; 2θ 49.18, I 26.2

Cell and atoms:
```
Mn5SbP6O24
1.0
4.339 2.505 7.121
-4.339 2.505 7.121
0.000 -5.010 7.121
Mn Sb P O
5 1 6 24
direct
0.000 0.000 0.000
0.140 0.140 0.140
0.502 0.502 0.502
0.647 0.647 0.647
0.791 0.791 0.791
0.290 0.290 0.290
0.101 0.398 0.692
0.191 0.893 0.607
0.398 0.692 0.101
0.607 0.191 0.893
0.692 0.101 0.398
0.893 0.607 0.191
0.035 0.843 0.630
0.064 0.407 0.208
0.089 0.230 0.880
0.136 0.338 0.531
0.159 0.952 0.760
0.208 0.064 0.407
0.230 0.880 0.089
0.260 0.454 0.652
0.338 0.531 0.136
0.387 0.736 0.582
0.407 0.208 0.064
0.454 0.652 0.260
0.531 0.136 0.338
0.558 0.702 0.908
0.582 0.387 0.736
0.630 0.035 0.843
0.652 0.260 0.454
0.702 0.908 0.558
0.736 0.582 0.387
0.760 0.159 0.952
0.843 0.630 0.035
0.880 0.089 0.230
0.908 0.558 0.702
0.952 0.760 0.159
```

This entry pairs a crystal structure of SrSmCrSnO6 with its calculated X-ray diffraction stick pattern. Radiation: Cu Ka. Structure: DFT lattice parameters and positions (PBE+U).
Peak positions follow from Bragg's law for the DFT cell and can differ from measured ones.

Top 6 peaks for 15° ≤ 2θ ≤ 90°, in order of rising 2θ:
2θ 19.22, I 11.9; 2θ 31.64, I 100.0; 2θ 45.35, I 32.5; 2θ 56.35, I 39.7; 2θ 66.08, I 19.7; 2θ 75.11, I 17.4

Cell and atoms:
```
SrSmCrSnO6
1.0
0.000 3.999 3.999
3.999 0.000 3.999
3.999 3.999 0.000
Sr Sm Cr Sn O
1 1 1 1 6
direct
0.000 0.000 0.000
0.500 0.500 0.500
0.250 0.250 0.250
0.750 0.750 0.750
0.003 0.003 0.497
0.003 0.497 0.003
0.003 0.497 0.497
0.497 0.003 0.003
0.497 0.003 0.497
0.497 0.497 0.003
```

This entry pairs a crystal structure of CaMo2O4 with its calculated X-ray diffraction stick pattern. Radiation: Cu Ka. Structure: DFT lattice parameters and positions (PBE+U).
Peak positions follow from Bragg's law for the DFT cell and can differ from measured ones.

Top 6 peaks for 15° ≤ 2θ ≤ 90°, in order of rising 2θ:
2θ 16.49, I 65.8; 2θ 31.88, I 100.0; 2θ 33.34, I 33.2; 2θ 38.68, I 43.1; 2θ 50.97, I 40.6; 2θ 55.86, I 50.1

Cell and atoms:
```
CaMo2O4
1.0
0.000 4.655 4.655
4.655 0.000 4.655
4.655 4.655 0.000
Ca Mo O
2 4 8
direct
0.125 0.125 0.125
0.875 0.875 0.875
0.000 0.500 0.500
0.500 0.000 0.500
0.500 0.500 0.000
0.500 0.500 0.500
0.265 0.265 0.265
0.265 0.265 0.704
0.265 0.704 0.265
0.296 0.735 0.735
0.704 0.265 0.265
0.735 0.296 0.735
0.735 0.735 0.296
0.735 0.735 0.735
```

This entry pairs a crystal structure of Li4MnF8 with its calculated X-ray diffraction stick pattern. Radiation: Cu Ka. Structure: DFT lattice parameters and positions (PBE+U).
Peak positions follow from Bragg's law for the DFT cell and can differ from measured ones.

Top 6 peaks for 15° ≤ 2θ ≤ 90°, in order of rising 2θ:
2θ 18.37, I 59.1; 2θ 18.64, I 100.0; 2θ 23.55, I 34.0; 2θ 25.48, I 43.8; 2θ 42.24, I 43.0; 2θ 43.22, I 87.0

Cell and atoms:
```
Li4MnF8
1.0
5.130 0.000 0.000
0.000 6.062 0.000
-1.938 0.000 4.829
Li Mn F
4 1 8
direct
0.000 0.000 0.000
0.000 0.200 0.500
0.000 0.757 0.500
0.500 0.800 0.000
0.000 0.487 0.000
0.205 0.972 0.760
0.207 0.500 0.776
0.210 0.269 0.228
0.231 0.708 0.218
0.769 0.708 0.782
0.790 0.269 0.772
0.793 0.500 0.224
0.795 0.972 0.240
```

This entry pairs a crystal structure of LiVO2 with its calculated X-ray diffraction stick pattern. Radiation: Cu Ka. Structure: DFT lattice parameters and positions (PBE+U).
Peak positions follow from Bragg's law for the DFT cell and can differ from measured ones.

Top 6 peaks for 15° ≤ 2θ ≤ 90°, in order of rising 2θ:
2θ 18.26, I 100.0; 2θ 35.37, I 42.1; 2θ 42.99, I 91.7; 2θ 56.84, I 15.4; 2θ 62.42, I 49.5; 2θ 78.78, I 14.7

Cell and atoms:
```
LiVO2
1.0
0.000 4.208 4.208
4.208 0.000 4.208
4.208 4.208 0.000
Li V O
4 4 8
direct
0.000 0.000 0.000
0.000 0.000 0.500
0.000 0.500 0.000
0.500 0.000 0.000
0.000 0.500 0.500
0.500 0.000 0.500
0.500 0.500 0.000
0.500 0.500 0.500
0.256 0.256 0.256
0.256 0.256 0.732
0.256 0.732 0.256
0.268 0.744 0.744
0.732 0.256 0.256
0.744 0.268 0.744
0.744 0.744 0.268
0.744 0.744 0.744
```

This entry pairs a crystal structure of Li4Cr2Fe3Sn3O16 with its calculated X-ray diffraction stick pattern. Radiation: Cu Ka. Structure: DFT lattice parameters and positions (PBE+U).
Peak positions follow from Bragg's law for the DFT cell and can differ from measured ones.

Top 6 peaks for 15° ≤ 2θ ≤ 90°, in order of rising 2θ:
2θ 18.35, I 91.7; 2θ 19.10, I 100.0; 2θ 35.11, I 89.6; 2θ 44.18, I 37.7; 2θ 44.32, I 39.0; 2θ 60.51, I 41.7

Cell and atoms:
```
Li4Cr2Fe3Sn3O16
1.0
5.303 -3.059 0.000
5.303 3.059 0.000
-0.044 0.000 9.669
Li Cr Fe Sn O
4 2 3 3 16
direct
0.000 0.000 0.000
0.002 0.002 0.491
0.322 0.322 0.388
0.657 0.657 0.895
0.322 0.322 0.990
0.653 0.653 0.482
0.160 0.160 0.715
0.331 0.820 0.214
0.820 0.331 0.214
0.159 0.652 0.713
0.652 0.159 0.713
0.820 0.820 0.212
0.032 0.467 0.845
0.157 0.661 0.097
0.159 0.159 0.102
0.319 0.319 0.597
0.320 0.828 0.599
0.467 0.032 0.845
0.471 0.471 0.847
0.507 0.948 0.344
0.511 0.511 0.341
0.650 0.650 0.102
0.661 0.157 0.097
0.828 0.320 0.599
0.828 0.828 0.594
0.948 0.507 0.344
0.994 0.994 0.815
0.996 0.996 0.306
```